1.
Diffraction record for Na5In2O5. The powder diffractogram is computed, not measured: it uses the PBE geometry in Alexandria and a wavelength of 1.5418 Å.
Kinematic intensities with the Lorentz-polarization factor, no thermal factor.

Cell and atoms:
```
data_Na5In2O5
_chemical_formula_sum 'Na5 In2 O5'
_cell_length_a 5.8361
_cell_length_b 5.8361
_cell_length_c 9.9588
_cell_angle_alpha 106.78
_cell_angle_beta 106.78
_cell_angle_gamma 33.64
_space_group_name_H-M_alt 'P 1'
_space_group_IT_number 1
loop_
_space_group_symop_operation_xyz
'x,y,z'
loop_
_atom_site_label
_atom_site_type_symbol
_atom_site_fract_x
_atom_site_fract_y
_atom_site_fract_z
_atom_site_occupancy
Na1 Na 0.0000 0.0000 0.0000 1
Na2 Na 0.1604 0.1604 0.5641 1
Na3 Na 0.2419 0.2419 0.8756 1
Na4 Na 0.7581 0.7581 0.1244 1
Na5 Na 0.8396 0.8396 0.4359 1
In1 In 0.4658 0.4658 0.7082 1
In2 In 0.5342 0.5342 0.2918 1
O1 O 0.1640 0.1640 0.3089 1
O2 O 0.3944 0.3944 0.0982 1
O3 O 0.5000 0.5000 0.5000 1
O4 O 0.6056 0.6056 0.9018 1
O5 O 0.8360 0.8360 0.6911 1
```

Largest 10 diffraction maxima, low angle first, 10° ≤ 2θ ≤ 80°:
2θ 16.64, d 5.326, I = 100
2θ 18.69, d 4.748, I = 48
2θ 20.98, d 4.235, I = 89
2θ 27.71, d 3.219, I = 77
2θ 32.12, d 2.787, I = 74
2θ 36.50, d 2.462, I = 49
2θ 36.72, d 2.447, I = 58
2θ 37.16, d 2.419, I = 51
2θ 37.70, d 2.386, I = 91
2θ 54.36, d 1.688, I = 40

2.
Diffraction record for Tb2In2PRh4. The powder diffractogram is computed, not measured: it uses the PBE geometry in Alexandria and a wavelength of 1.5418 Å.
Kinematic intensities with the Lorentz-polarization factor, no thermal factor.

Cell and atoms:
```
data_Tb2In2PRh4
_chemical_formula_sum 'Tb2 In2 P1 Rh4'
_cell_length_a 6.2742
_cell_length_b 6.2742
_cell_length_c 6.2742
_cell_angle_alpha 119.64
_cell_angle_beta 119.64
_cell_angle_gamma 90.63
_space_group_name_H-M_alt 'P 1'
_space_group_IT_number 1
loop_
_space_group_symop_operation_xyz
'x,y,z'
loop_
_atom_site_label
_atom_site_type_symbol
_atom_site_fract_x
_atom_site_fract_y
_atom_site_fract_z
_atom_site_occupancy
Tb1 Tb 0.1987 0.1987 0.0000 1
Tb2 Tb 0.8013 0.8013 0.0000 1
In1 In 0.2500 0.7500 0.5000 1
In2 In 0.7500 0.2500 0.5000 1
P1 P 0.5000 0.5000 0.0000 1
Rh1 Rh 0.2458 0.2458 0.4917 1
Rh2 Rh 0.2458 0.7542 0.0000 1
Rh3 Rh 0.7542 0.2458 0.0000 1
Rh4 Rh 0.7542 0.7542 0.5083 1
```

Largest 10 diffraction maxima, low angle first, 10° ≤ 2θ ≤ 80°:
2θ 17.28, d 5.132, I = 4
2θ 33.62, d 2.666, I = 11
2θ 34.97, d 2.566, I = 100
2θ 40.44, d 2.230, I = 43
2θ 40.91, d 2.206, I = 13
2θ 44.50, d 2.036, I = 12
2θ 58.53, d 1.577, I = 14
2θ 58.88, d 1.568, I = 17
2θ 70.03, d 1.344, I = 25
2θ 73.87, d 1.283, I = 8